1.
For Ti4CuPd7, DFT lattice parameters and positions (PBE) gives the calculated powder XRD pattern in this record (λ = 1.5418 Å (Cu Kα)).

Principal peaks in the range 2θ = 5–70°, by intensity:
2θ/deg  I/Imax  h k l
40.70  100  3 1 1
38.37  88  0 2 0
27.12  73  1 1 -2
34.85  48  4 0 -1
37.17  42  4 0 -3
45.29  40  1 1 -4
52.79  29  4 2 -1
39.08  28  2 0 -4
54.49  26  4 2 -3
48.44  25  5 1 -3
43.58  25  1 1 3
55.92  19  2 2 -4

Structural model:
```
data_Ti4CuPd7
_space_group_name_H-M_alt 'C 1 2/m 1'
_space_group_IT_number 12
_cell_length_a 10.5395
_cell_length_b 4.6918
_cell_length_c 9.2293
_cell_angle_alpha 90.00
_cell_angle_beta 118.47
_cell_angle_gamma 90.00
loop_
_space_group_symop_operation_xyz
'x,y,z'
'-x,-y,-z'
'-x,y,-z'
'x,-y,z'
'x+1/2,y+1/2,z'
'-x+1/2,-y+1/2,-z'
'-x+1/2,y+1/2,-z'
'x+1/2,-y+1/2,z'
loop_
_atom_site_label
_atom_site_fract_x
_atom_site_fract_y
_atom_site_fract_z
Ti1 0.0850 0.0000 0.2779
Ti2 0.2494 0.5000 0.1664
Cu1 0.0000 0.5000 0.5000
Pd1 0.0000 0.0000 0.5000
Pd2 0.0748 0.5000 0.8295
Pd3 0.1365 0.0000 0.0349
Pd4 0.2061 0.5000 0.4107
```

---

2.
For Ti2Cu3Pd3, DFT lattice parameters and positions (PBE) gives the calculated powder XRD pattern in this record (λ = 1.5418 Å (Cu Kα)).

Principal peaks in the range 2θ = 5–70°, by intensity:
2θ/deg  I/Imax  h k l
43.49  100  1 1 4
38.37  37  0 2 0
38.99  36  2 0 0
55.85  24  2 2 0
20.93  6  1 0 1
31.43  6  0 1 3
31.88  5  1 1 2
16.51  4  0 0 2
27.08  3  1 1 0
50.91  3  2 1 3
44.10  2  1 2 1
63.94  1  1 0 7

Structural model:
```
data_Ti2Cu3Pd3
_space_group_name_H-M_alt 'I m m m'
_space_group_IT_number 71
_space_group_name_Hall '-I 2 2'
_cell_length_a 4.6203
_cell_length_b 4.6924
_cell_length_c 10.7399
_cell_angle_alpha 90.00
_cell_angle_beta 90.00
_cell_angle_gamma 90.00
loop_
_atom_site_label
_atom_site_fract_x
_atom_site_fract_y
_atom_site_fract_z
Ti1 0.0000 0.0000 0.2471
Cu1 0.0000 0.0000 0.5000
Cu2 0.0000 0.5000 0.3835
Pd1 0.0000 0.0000 0.0000
Pd2 0.0000 0.5000 0.1344
```

---

3.
For TiCu2Pd, DFT lattice parameters and positions (PBE) gives the calculated powder XRD pattern in this record (λ = 1.5418 Å (Cu Kα)).

Principal peaks in the range 2θ = 5–70°, by intensity:
2θ/deg  I/Imax  h k l
44.35  100  1 2 1
43.51  72  1 0 2
40.31  50  2 0 0
39.24  37  0 2 1
57.52  23  2 2 1
69.89  16  0 2 3
26.14  15  1 1 0
25.41  10  0 1 1
38.31  6  0 0 2
32.45  4  1 1 1
48.26  4  2 1 1
56.82  4  2 0 2

Structural model:
```
data_TiCu2Pd
_space_group_name_H-M_alt 'P m m n'
_space_group_IT_number 59
_cell_length_a 4.4748
_cell_length_b 5.2621
_cell_length_c 4.6990
_cell_angle_alpha 90.00
_cell_angle_beta 90.00
_cell_angle_gamma 90.00
loop_
_space_group_symop_operation_xyz
'x,y,z'
'-x,-y,-z'
'-x+1/2,-y+1/2,z'
'x+1/2,y+1/2,-z'
'x+1/2,-y,-z'
'-x+1/2,y,z'
'-x,y+1/2,-z'
'x,-y+1/2,z'
loop_
_atom_site_label
_atom_site_fract_x
_atom_site_fract_y
_atom_site_fract_z
Ti1 0.2500 0.2500 0.1490
Cu1 0.2500 0.5024 0.6486
Pd1 0.2500 0.7500 0.1549
```

---

4.
For Ti4CuPd, DFT lattice parameters and positions (PBE) gives the calculated powder XRD pattern in this record (λ = 1.5418 Å (Cu Kα)).

Principal peaks in the range 2θ = 5–70°, by intensity:
2θ/deg  I/Imax  h k l
39.25  100  1 0 3
43.53  37  1 1 0
68.14  18  1 1 6
16.09  13  0 0 2
49.66  12  0 0 6
63.25  11  2 0 0
8.03  9  0 0 1
31.49  9  1 0 1
46.70  4  1 1 2
51.86  3  1 0 5
34.58  3  1 0 2
32.51  2  0 0 4

Structural model:
```
data_Ti4CuPd
_space_group_name_H-M_alt 'P 4/m m m'
_space_group_IT_number 123
_space_group_name_Hall '-P 4 2'
_cell_length_a 2.9403
_cell_length_b 2.9403
_cell_length_c 11.0154
_cell_angle_alpha 90.00
_cell_angle_beta 90.00
_cell_angle_gamma 90.00
loop_
_atom_site_label
_atom_site_fract_x
_atom_site_fract_y
_atom_site_fract_z
Ti1 0.0000 0.0000 0.1585
Ti2 0.5000 0.5000 0.3301
Cu1 0.5000 0.5000 0.0000
Pd1 0.0000 0.0000 0.5000
```

---

5.
For Ti2Cu2Pd7, DFT lattice parameters and positions (PBE) gives the calculated powder XRD pattern in this record (λ = 1.5418 Å (Cu Kα)).

Principal peaks in the range 2θ = 5–70°, by intensity:
2θ/deg  I/Imax  h k l
41.78  100  1 0 3
41.43  83  1 2 -1
40.93  67  0 2 2
40.36  54  2 0 0
37.40  50  0 2 -1
38.45  48  1 2 2
43.91  46  1 -2 1
39.33  44  1 0 -2
38.66  38  2 0 1
46.21  36  2 2 2
30.90  29  0 1 2
37.97  27  2 1 1

Structural model:
```
data_Ti2Cu2Pd7
_space_group_name_H-M_alt 'P -1'
_space_group_IT_number 2
_cell_length_a 4.8184
_cell_length_b 5.6831
_cell_length_c 6.7277
_cell_angle_alpha 79.03
_cell_angle_beta 71.31
_cell_angle_gamma 75.73
loop_
_space_group_symop_operation_xyz
'x,y,z'
'-x,-y,-z'
loop_
_atom_site_label
_atom_site_fract_x
_atom_site_fract_y
_atom_site_fract_z
Ti1 0.1895 0.1945 0.0804
Cu1 0.2270 0.3653 0.4230
Pd1 0.0000 0.0000 0.5000
Pd2 0.2434 0.7189 0.1199
Pd3 0.2624 0.5334 0.7367
Pd4 0.3753 0.0187 0.7316
```

---

6.
For TlCu2Pd4, DFT lattice parameters and positions (PBE) gives the calculated powder XRD pattern in this record (λ = 1.5418 Å (Cu Kα)).

Principal peaks in the range 2θ = 5–70°, by intensity:
2θ/deg  I/Imax  h k l
43.65  100  2 1 3
38.73  77  3 1 0
42.73  75  1 2 3
36.02  42  1 3 0
35.92  41  1 0 3
27.85  25  1 2 1
22.30  25  0 2 0
35.61  15  0 3 1
15.72  15  0 1 1
69.66  13  5 1 2
40.45  12  2 2 2
54.97  10  2 3 3

Structural model:
```
data_TlCu2Pd4
_space_group_name_H-M_alt 'I 21 21 21'
_space_group_IT_number 24
_cell_length_a 7.2920
_cell_length_b 7.9602
_cell_length_c 7.9848
_cell_angle_alpha 90.00
_cell_angle_beta 90.00
_cell_angle_gamma 90.00
loop_
_space_group_symop_operation_xyz
'x,y,z'
'-x,-y+1/2,z'
'x,-y,-z+1/2'
'-x,y+1/2,-z+1/2'
'x+1/2,y+1/2,z+1/2'
'-x+1/2,-y,z+1/2'
'x+1/2,-y+1/2,-z'
'-x+1/2,y,-z'
loop_
_atom_site_label
_atom_site_fract_x
_atom_site_fract_y
_atom_site_fract_z
Tl1 0.1251 0.0000 0.2500
Cu1 0.0000 0.2500 0.8553
Cu2 0.2500 0.3926 0.0000
Pd1 0.0508 0.0728 0.5812
Pd2 0.1996 0.3320 0.3233
```

---

7.
For TmCu8Pd3, DFT lattice parameters and positions (PBE) gives the calculated powder XRD pattern in this record (λ = 1.5418 Å (Cu Kα)).

Principal peaks in the range 2θ = 5–70°, by intensity:
2θ/deg  I/Imax  h k l
43.33  100  1 1 2
40.00  92  1 0 3
44.15  70  2 0 1
36.66  52  1 1 0
68.26  35  2 1 3
42.59  14  2 0 0
45.47  10  0 0 4
66.02  9  3 0 0
30.75  9  0 1 2
50.56  8  1 0 4
23.74  6  0 1 1
62.14  6  1 0 5

Structural model:
```
data_TmCu8Pd3
_space_group_name_H-M_alt 'P 3 m 1'
_space_group_IT_number 156
_cell_length_a 4.9022
_cell_length_b 4.9022
_cell_length_c 7.9789
_cell_angle_alpha 90.00
_cell_angle_beta 90.00
_cell_angle_gamma 120.00
loop_
_space_group_symop_operation_xyz
'x,y,z'
'-y,x-y,z'
'-x+y,-x,z'
'-y,-x,z'
'-x+y,y,z'
'x,x-y,z'
loop_
_atom_site_label
_atom_site_fract_x
_atom_site_fract_y
_atom_site_fract_z
Tm1 0.0000 0.0000 0.0000
Cu1 0.1643 0.3287 0.6764
Cu2 0.3333 0.6667 0.4319
Cu3 0.3333 0.6667 0.9328
Cu4 0.5035 0.0069 0.1914
Pd1 0.0000 0.0000 0.3719
Pd2 0.6667 0.3333 0.4994
Pd3 0.6667 0.3333 0.8681
```

---

8.
For Tm4CuPd, DFT lattice parameters and positions (PBE) gives the calculated powder XRD pattern in this record (λ = 1.5418 Å (Cu Kα)).

Principal peaks in the range 2θ = 5–70°, by intensity:
2θ/deg  I/Imax  h k l
29.81  100  2 0 2
47.18  31  3 3 2
38.26  30  4 0 0
38.08  29  3 1 2
30.03  27  3 1 0
26.80  27  2 2 0
49.24  27  4 2 2
18.86  20  2 0 0
61.92  15  4 0 4
46.72  13  0 0 4
57.07  13  5 3 0
56.54  9  3 1 4

Structural model:
```
data_Tm4CuPd
_space_group_name_H-M_alt 'I 41 m d'
_space_group_IT_number 109
_space_group_name_Hall 'I 4bw -2'
_cell_length_a 9.4094
_cell_length_b 9.4094
_cell_length_c 7.7769
_cell_angle_alpha 90.00
_cell_angle_beta 90.00
_cell_angle_gamma 90.00
loop_
_atom_site_label
_atom_site_fract_x
_atom_site_fract_y
_atom_site_fract_z
Tm1 0.0000 0.2891 0.0000
Tm2 0.0000 0.2952 0.4965
Cu1 0.0000 0.0000 0.9935
Pd1 0.0000 0.0000 0.5027
```

---

9.
For TmCu3Pd6, DFT lattice parameters and positions (PBE) gives the calculated powder XRD pattern in this record (λ = 1.5418 Å (Cu Kα)).

Principal peaks in the range 2θ = 5–70°, by intensity:
2θ/deg  I/Imax  h k l
41.32  100  1 1 3
41.69  96  3 1 -1
40.31  66  0 2 0
43.94  48  2 1 -4
38.79  36  2 0 -4
57.18  23  2 2 -4
63.02  14  4 0 2
36.28  13  3 0 -1
35.86  11  1 0 3
68.85  10  5 0 -5
68.06  10  1 0 -7
31.22  8  2 1 -1

Structural model:
```
data_TmCu3Pd6
_space_group_name_H-M_alt 'P 1 21/m 1'
_space_group_IT_number 11
_cell_length_a 7.4640
_cell_length_b 4.4745
_cell_length_c 9.7793
_cell_angle_alpha 90.00
_cell_angle_beta 110.21
_cell_angle_gamma 90.00
loop_
_space_group_symop_operation_xyz
'x,y,z'
'-x,-y,-z'
'-x,y+1/2,-z'
'x,-y+1/2,z'
loop_
_atom_site_label
_atom_site_fract_x
_atom_site_fract_y
_atom_site_fract_z
Tm1 0.0708 0.2500 0.3758
Cu1 0.2569 0.2500 0.9783
Cu2 0.3434 0.7500 0.8350
Cu3 0.4832 0.2500 0.5852
Pd1 0.0496 0.7500 0.9276
Pd2 0.1432 0.7500 0.2239
Pd3 0.1865 0.2500 0.6911
Pd4 0.2611 0.7500 0.5401
Pd5 0.3727 0.2500 0.2687
Pd6 0.4435 0.7500 0.1133
```

---

10.
For Tm12Cu6Pd, DFT lattice parameters and positions (PBE) gives the calculated powder XRD pattern in this record (λ = 1.5418 Å (Cu Kα)).

Principal peaks in the range 2θ = 5–70°, by intensity:
2θ/deg  I/Imax  h k l
34.99  100  3 1 2
32.32  47  2 2 2
59.38  34  5 2 3
55.88  34  5 3 0
29.44  31  3 0 1
37.50  21  4 0 0
69.25  19  5 3 4
48.38  14  5 0 1
39.86  13  3 3 0
57.65  11  6 0 0
26.27  11  2 2 0
42.12  11  4 2 0

Structural model:
```
data_Tm12Cu6Pd
_space_group_name_H-M_alt 'I m -3'
_space_group_IT_number 204
_space_group_name_Hall '-I 2 2 3'
_cell_length_a 9.5941
_cell_length_b 9.5941
_cell_length_c 9.5941
_cell_angle_alpha 90.00
_cell_angle_beta 90.00
_cell_angle_gamma 90.00
loop_
_atom_site_label
_atom_site_fract_x
_atom_site_fract_y
_atom_site_fract_z
Tm1 0.0000 0.2904 0.1867
Cu1 0.0000 0.1271 0.5000
Pd1 0.0000 0.0000 0.0000
```

---

11.
For TmCuPd3, DFT lattice parameters and positions (PBE) gives the calculated powder XRD pattern in this record (λ = 1.5418 Å (Cu Kα)).

Principal peaks in the range 2θ = 5–70°, by intensity:
2θ/deg  I/Imax  h k l
36.00  100  1 1 4
44.66  27  0 2 0
40.08  27  1 1 6
41.43  23  0 1 9
48.26  22  2 0 0
30.52  18  1 0 5
33.34  18  1 1 2
34.91  15  0 1 7
67.85  15  2 2 0
65.45  11  2 1 9
49.43  10  1 0 11
65.58  10  1 1 14

Structural model:
```
data_TmCuPd3
_space_group_name_H-M_alt 'I m m a'
_space_group_IT_number 74
_space_group_name_Hall '-I 2b 2'
_cell_length_a 3.7715
_cell_length_b 4.0580
_cell_length_c 23.2526
_cell_angle_alpha 90.00
_cell_angle_beta 90.00
_cell_angle_gamma 90.00
loop_
_atom_site_label
_atom_site_fract_x
_atom_site_fract_y
_atom_site_fract_z
Tm1 0.0000 0.2500 0.0935
Cu1 0.0000 0.2500 0.6366
Pd1 0.0000 0.2500 0.2967
Pd2 0.0000 0.2500 0.5334
Pd3 0.0000 0.2500 0.7928
```

---

12.
For Tm3Cu3Pd, DFT lattice parameters and positions (PBE) gives the calculated powder XRD pattern in this record (λ = 1.5418 Å (Cu Kα)).

Principal peaks in the range 2θ = 5–70°, by intensity:
2θ/deg  I/Imax  h k l
33.98  100  1 1 2
35.08  52  1 0 5
40.59  34  0 1 7
25.43  32  0 1 3
42.12  30  0 2 0
55.94  27  1 2 5
38.18  19  1 1 4
50.76  17  2 0 0
44.42  16  1 1 6
29.46  16  0 0 6
66.92  15  2 1 7
68.02  14  2 2 0

Structural model:
```
data_Tm3Cu3Pd
_space_group_name_H-M_alt 'I m m 2'
_space_group_IT_number 44
_cell_length_a 3.5973
_cell_length_b 4.2904
_cell_length_c 18.1905
_cell_angle_alpha 90.00
_cell_angle_beta 90.00
_cell_angle_gamma 90.00
loop_
_space_group_symop_operation_xyz
'x,y,z'
'-x,-y,z'
'-x,y,z'
'x,-y,z'
'x+1/2,y+1/2,z+1/2'
'-x+1/2,-y+1/2,z+1/2'
'-x+1/2,y+1/2,z+1/2'
'x+1/2,-y+1/2,z+1/2'
loop_
_atom_site_label
_atom_site_fract_x
_atom_site_fract_y
_atom_site_fract_z
Tm1 0.0000 0.0000 0.0000
Tm2 0.0000 0.0000 0.3721
Tm3 0.0000 0.5000 0.1871
Cu1 0.0000 0.0000 0.5446
Cu2 0.0000 0.0000 0.8353
Cu3 0.0000 0.5000 0.6161
Pd1 0.0000 0.5000 0.7527
```